# 1
The following is a calculated powder diffraction line list of Zr5Nb2. It was derived from DFT lattice parameters and positions (PBE), using Cu Kα (λ = 1.5418 Å).
Kinematic intensities with the Lorentz-polarization factor, no thermal factor.

Cell and atoms:
Cell lengths 3.3378, 3.3378, 27.3414 Å; angles 90.00, 90.00, 90.00 degrees
Fractional positions:
1 Zr 0.0000 0.0000 0.0000
2 Zr 0.0000 0.0000 0.1549
3 Zr 0.0000 0.0000 0.4228
4 Zr 0.0000 0.0000 0.5772
5 Zr 0.0000 0.0000 0.8451
6 Zr 0.5000 0.5000 0.0772
7 Zr 0.5000 0.5000 0.3451
8 Zr 0.5000 0.5000 0.5000
9 Zr 0.5000 0.5000 0.6549
10 Zr 0.5000 0.5000 0.9228
11 Nb 0.0000 0.0000 0.2772
12 Nb 0.0000 0.0000 0.7228
13 Nb 0.5000 0.5000 0.2228
14 Nb 0.5000 0.5000 0.7772

The 10 most intense peaks (2θ from 10° to 80°), by angle:
35.37°, 2.538 Å, I = 100.0, hkl 1 0 7
38.13°, 2.360 Å, I = 46.6, hkl 1 1 0
40.14°, 2.247 Å, I = 6.1, hkl 1 0 9
46.50°, 1.953 Å, I = 7.2, hkl 0 0 14
55.02°, 1.669 Å, I = 15.6, hkl 2 0 0
56.11°, 1.639 Å, I = 5.7, hkl 1 1 12
61.64°, 1.505 Å, I = 12.1, hkl 1 1 14
67.13°, 1.394 Å, I = 29.2, hkl 2 1 7
71.38°, 1.321 Å, I = 5.9, hkl 1 0 19
74.84°, 1.269 Å, I = 6.7, hkl 2 0 14

# 2
The following is a calculated powder diffraction line list of Ac2SO2. It was derived from DFT lattice parameters and positions (PBE), using Cu Kα (λ = 1.5418 Å).
Kinematic intensities with the Lorentz-polarization factor, no thermal factor.

Cell and atoms:
Cell lengths 4.2173, 4.2173, 7.2144 Å; angles 90.00, 90.00, 120.00 degrees
Fractional positions:
1 Ac 0.3333 0.6667 0.2792
2 Ac 0.6667 0.3333 0.7208
3 S 0.0000 0.0000 0.0000
4 O 0.3333 0.6667 0.6278
5 O 0.6667 0.3333 0.3722

The 10 most intense peaks (2θ from 10° to 80°), by angle:
24.37°, 3.652 Å, I = 20.7, hkl 1 0 0
24.68°, 3.607 Å, I = 23.1, hkl 0 0 2
27.37°, 3.259 Å, I = 100.0, hkl 0 1 1
34.96°, 2.566 Å, I = 27.8, hkl 1 0 2
42.89°, 2.109 Å, I = 29.4, hkl 1 1 0
45.14°, 2.009 Å, I = 25.5, hkl 0 1 3
50.11°, 1.820 Å, I = 21.8, hkl 1 1 2
51.63°, 1.770 Å, I = 18.4, hkl 2 0 1
64.02°, 1.454 Å, I = 9.1, hkl 2 0 3
69.30°, 1.356 Å, I = 15.7, hkl 1 2 1